Theoretical X-ray powder pattern
Compound: LiCaSn2Au4
Radiation: Cu Kα (λ = 1.5418 Å)
Structure: DFT lattice parameters and positions (GGA-PBE)
Neutral-atom scattering factors, no anomalous dispersion.

Atomic structure:
a b c (Å): 4.8127 4.8127 24.7259
angles (deg): 90.00 90.00 120.00
Space group R-3m (No. 166, hexagonal axes)
One atom of each set of equivalent atoms:
Li 0.0000 0.0000 0.0000 x3
Ca 0.0000 0.0000 0.5000 x3
Sn 0.0000 0.0000 0.2515 x6
Au 0.0000 0.0000 0.1105 x6
Au 0.0000 0.0000 0.3665 x6

Main lines, by intensity (2θ from 10° to 90°):
(hkl), Position (°2θ), d (Å), I/Imax
1 1 0, 37.37, 2.406, 100
0 1 8, 36.18, 2.483, 83
1 0 4, 25.78, 3.456, 47
2 0 8, 52.98, 1.728, 33
1 2 8, 66.63, 1.404, 31
0 2 4, 45.91, 1.977, 21
3 0 0, 67.41, 1.389, 18
2 1 4, 60.64, 1.527, 14
1 0 7, 33.25, 2.695, 12
2 2 0, 79.69, 1.203, 12